# SrTmBe2Si2
Simulated X-ray powder pattern, copper Kα. Input: DFT lattice parameters and positions (PBE).
Peak positions follow from Bragg's law for the DFT cell and can differ from measured ones.

Top 10 peaks for 2θ from 10° to 90°, in order of falling intensity:
2θ (°)  d/Å  intensity
33.64  2.664  100
26.21  3.399  55
10.32  8.576  26
46.26  1.963  26
20.72  4.288  23
50.32  1.813  20
58.40  1.580  20
77.56  1.231  18
64.35  1.448  17
51.19  1.785  14

Structural model:
Cell lengths 3.9253, 3.9253, 8.5758 Å; angles 90.00, 90.00, 120.00 degrees
Space group P-3m1 (No. 164)
Inequivalent atoms, fractional coordinates:
Sr 0.0000 0.0000 0.0000
Tm 0.0000 0.0000 0.5000
Be 0.3333 0.6667 0.7189
Si 0.3333 0.6667 0.2758

---

# CsErNb6Br18
Simulated X-ray powder pattern, copper Kα. Input: DFT lattice parameters and positions (PBE).
Peak positions follow from Bragg's law for the DFT cell and can differ from measured ones.

Top 10 peaks for 2θ from 10° to 90°, in order of falling intensity:
2θ (°)  d/Å  intensity
33.72  2.658  100
31.11  2.875  89
14.07  6.293  72
10.28  8.603  71
29.10  3.069  55
36.85  2.439  44
34.29  2.615  42
48.76  1.868  39
20.30  4.374  38
48.49  1.877  34

Structural model:
Cell lengths 9.9336, 9.9336, 18.4587 Å; angles 90.00, 90.00, 120.00 degrees
Space group P-31c (No. 163)
Inequivalent atoms, fractional coordinates:
Cs 0.3333 0.6667 0.2500
Er 0.3333 0.6667 0.7500
Nb 0.0397 0.1884 0.5653
Br 0.0477 0.2319 0.3401
Br 0.0885 0.4489 0.6624
Br 0.1367 0.4147 0.0008